Structure and computed XRD peak list of Ac4Ag2Ir (a DFT-relaxed cell (PBE, OQMD); copper Kα).

Structure:
```
data_Ac4Ag2Ir
_chemical_formula_sum 'Ac4 Ag2 Ir1'
_cell_length_a 5.3857
_cell_length_b 5.3857
_cell_length_c 7.8382
_cell_angle_alpha 90.00
_cell_angle_beta 90.00
_cell_angle_gamma 90.00
_space_group_name_H-M_alt 'P 4/m m m'
_space_group_IT_number 123
_space_group_name_Hall '-P 4 2'
loop_
_atom_site_label
_atom_site_fract_x
_atom_site_fract_y
_atom_site_fract_z
_atom_site_occupancy
Ac1 0.0000 0.5000 0.2367 1
Ag1 0.0000 0.0000 0.0000 1
Ag2 0.5000 0.5000 0.5000 1
Ir1 0.5000 0.5000 0.0000 1
```

Main lines, low angle first (5° ≤ 2θ ≤ 70°):
(hkl), 2theta, I_rel
0 0 1, 11.29, 12.5
0 0 2, 22.69, 7.7
1 1 0, 23.36, 15.1
1 1 2, 32.79, 100.0
2 0 0, 33.27, 49.1
0 0 4, 46.33, 9.1
2 2 0, 47.77, 18.1
2 0 4, 58.23, 18.6
3 1 2, 59.15, 37.6
2 2 4, 68.74, 11.4